(1)
For Pr3Hg4, a PBE-relaxed structure gives the computed XRD peak list in this record (Cu Kα).
Neutral-atom scattering factors, no anomalous dispersion.

Structural model:
Unit cell a=8.571 b=8.571 c=8.571 alpha=113.73 beta=113.73 gamma=113.73
Atoms (fractional coordinates):
Pr: 0.008 0.398 0.270
Pr: 0.270 0.008 0.398
Pr: 0.398 0.270 0.008
Pr: 0.602 0.730 0.992
Pr: 0.730 0.992 0.602
Pr: 0.992 0.602 0.730
Hg: 0.000 0.000 0.000
Hg: 0.083 0.238 0.558
Hg: 0.238 0.558 0.083
Hg: 0.442 0.917 0.762
Hg: 0.500 0.500 0.500
Hg: 0.558 0.083 0.238
Hg: 0.762 0.442 0.917
Hg: 0.917 0.762 0.442

Main lines, sorted by position (2θ from 10° to 80°):
| 2θ (°) | d [Å] | I (rel.) |
| --- | --- | --- |
| 29.26 | 3.052 | 12 |
| 33.02 | 2.713 | 100 |
| 33.31 | 2.689 | 89 |
| 34.29 | 2.615 | 10 |
| 37.86 | 2.376 | 14 |
| 47.61 | 1.910 | 24 |
| 58.98 | 1.566 | 12 |
| 59.16 | 1.562 | 21 |
| 59.76 | 1.547 | 12 |
| 65.71 | 1.421 | 9 |

---

(2)
For Li2B6Mo, a PBE-relaxed structure gives the computed XRD peak list in this record (Cu Kα).
Neutral-atom scattering factors, no anomalous dispersion.

Structural model:
Unit cell a=9.023 b=11.131 c=3.282 alpha=90.00 beta=90.00 gamma=90.00
Atoms (fractional coordinates):
Li: 0.053 0.132 0.000
Li: 0.173 0.410 0.000
Li: 0.327 0.910 0.000
Li: 0.447 0.632 0.000
Li: 0.553 0.368 0.000
Li: 0.673 0.090 0.000
Li: 0.827 0.590 0.000
Li: 0.947 0.868 0.000
B: 0.023 0.288 0.500
B: 0.052 0.562 0.500
B: 0.097 0.974 0.500
B: 0.128 0.824 0.500
B: 0.197 0.241 0.500
B: 0.234 0.076 0.500
B: 0.266 0.576 0.500
B: 0.303 0.741 0.500
B: 0.372 0.324 0.500
B: 0.403 0.474 0.500
B: 0.448 0.062 0.500
B: 0.477 0.788 0.500
B: 0.523 0.212 0.500
B: 0.552 0.938 0.500
B: 0.597 0.526 0.500
B: 0.628 0.676 0.500
B: 0.697 0.259 0.500
B: 0.734 0.424 0.500
B: 0.766 0.924 0.500
B: 0.803 0.759 0.500
B: 0.872 0.176 0.500
B: 0.903 0.026 0.500
B: 0.948 0.438 0.500
B: 0.977 0.712 0.500
Mo: 0.149 0.680 0.000
Mo: 0.351 0.180 0.000
Mo: 0.649 0.820 0.000
Mo: 0.851 0.320 0.000

Main lines, sorted by position (2θ from 10° to 80°):
| 2θ (°) | d [Å] | I (rel.) |
| --- | --- | --- |
| 12.63 | 7.009 | 24 |
| 15.92 | 5.566 | 57 |
| 18.73 | 4.737 | 74 |
| 21.25 | 4.181 | 100 |
| 25.96 | 3.432 | 27 |
| 33.21 | 2.697 | 29 |
| 33.72 | 2.658 | 25 |
| 34.75 | 2.581 | 50 |
| 43.82 | 2.066 | 35 |
| 47.79 | 1.903 | 32 |

---

(3)
For Y6AlCo2, a PBE-relaxed structure gives the computed XRD peak list in this record (Cu Kα).
Neutral-atom scattering factors, no anomalous dispersion.

Structural model:
Unit cell a=8.342 b=8.342 c=8.342 alpha=111.54 beta=110.31 gamma=106.60
Atoms (fractional coordinates):
Y: 0.031 0.234 0.797
Y: 0.185 0.283 0.468
Y: 0.185 0.717 0.902
Y: 0.317 0.014 0.696
Y: 0.317 0.621 0.304
Y: 0.436 0.234 0.203
Y: 0.564 0.766 0.797
Y: 0.683 0.379 0.696
Y: 0.683 0.986 0.304
Y: 0.815 0.283 0.098
Y: 0.815 0.717 0.532
Y: 0.969 0.766 0.203
Al: 0.000 0.000 0.000
Al: 0.500 0.500 0.000
Co: 0.112 0.612 0.500
Co: 0.371 0.000 0.371
Co: 0.629 0.000 0.629
Co: 0.888 0.388 0.500

Main lines, sorted by position (2θ from 10° to 80°):
| 2θ (°) | d [Å] | I (rel.) |
| --- | --- | --- |
| 13.24 | 6.687 | 28 |
| 32.24 | 2.777 | 100 |
| 34.38 | 2.608 | 47 |
| 34.82 | 2.576 | 41 |
| 35.28 | 2.544 | 45 |
| 35.49 | 2.530 | 21 |
| 38.37 | 2.346 | 25 |
| 39.57 | 2.278 | 16 |
| 40.86 | 2.209 | 17 |
| 60.20 | 1.537 | 23 |

---

(4)
For Zr3Nb, a PBE-relaxed structure gives the computed XRD peak list in this record (Cu Kα).
Neutral-atom scattering factors, no anomalous dispersion.

Structural model:
Unit cell a=5.188 b=6.363 c=5.248 alpha=90.00 beta=90.00 gamma=90.00
Atoms (fractional coordinates):
Zr: 0.250 0.000 0.225
Zr: 0.250 0.250 0.714
Zr: 0.250 0.500 0.225
Zr: 0.750 0.000 0.775
Zr: 0.750 0.500 0.775
Zr: 0.750 0.750 0.286
Nb: 0.250 0.750 0.726
Nb: 0.750 0.250 0.274

Main lines, sorted by position (2θ from 10° to 80°):
| 2θ (°) | d [Å] | I (rel.) |
| --- | --- | --- |
| 34.17 | 2.624 | 29 |
| 34.58 | 2.594 | 32 |
| 37.32 | 2.409 | 100 |
| 49.41 | 1.845 | 20 |
| 57.97 | 1.591 | 7 |
| 63.26 | 1.470 | 16 |
| 63.77 | 1.459 | 20 |
| 69.04 | 1.360 | 7 |
| 69.29 | 1.356 | 8 |
| 79.57 | 1.205 | 9 |

---

(5)
For CdW3CN, a PBE-relaxed structure gives the computed XRD peak list in this record (Cu Kα).
Neutral-atom scattering factors, no anomalous dispersion.

Structural model:
Unit cell a=3.099 b=3.099 c=19.185 alpha=90.00 beta=90.00 gamma=120.00
Atoms (fractional coordinates):
Cd: 0.000 0.000 0.247
Cd: 0.000 0.000 0.753
W: 0.000 0.000 0.000
W: 0.000 0.000 0.500
W: 0.333 0.667 0.121
W: 0.333 0.667 0.374
W: 0.667 0.333 0.626
W: 0.667 0.333 0.879
C: 0.333 0.667 0.568
C: 0.667 0.333 0.432
N: 0.333 0.667 0.937
N: 0.667 0.333 0.063

Main lines, sorted by position (2θ from 10° to 80°):
| 2θ (°) | d [Å] | I (rel.) |
| --- | --- | --- |
| 33.72 | 2.658 | 28 |
| 36.30 | 2.475 | 22 |
| 37.50 | 2.398 | 31 |
| 38.44 | 2.342 | 100 |
| 41.04 | 2.199 | 19 |
| 47.41 | 1.917 | 15 |
| 59.68 | 1.549 | 28 |
| 68.29 | 1.373 | 18 |
| 72.65 | 1.301 | 28 |
| 73.25 | 1.292 | 17 |

---

(6)
For CsReBr4, a PBE-relaxed structure gives the computed XRD peak list in this record (Cu Kα).
Neutral-atom scattering factors, no anomalous dispersion.

Structural model:
Unit cell a=10.232 b=12.699 c=13.104 alpha=90.00 beta=90.00 gamma=90.00
Atoms (fractional coordinates):
Cs: 0.161 0.193 0.136
Cs: 0.161 0.307 0.636
Cs: 0.339 0.693 0.136
Cs: 0.339 0.807 0.636
Cs: 0.661 0.193 0.364
Cs: 0.661 0.307 0.864
Cs: 0.839 0.693 0.364
Cs: 0.839 0.807 0.864
Re: 0.060 0.015 0.430
Re: 0.060 0.485 0.930
Re: 0.440 0.515 0.430
Re: 0.440 0.985 0.930
Re: 0.560 0.015 0.070
Re: 0.560 0.485 0.570
Re: 0.940 0.515 0.070
Re: 0.940 0.985 0.570
Br: 0.025 0.207 0.394
Br: 0.025 0.293 0.894
Br: 0.089 0.015 0.719
Br: 0.089 0.485 0.219
Br: 0.156 0.659 0.885
Br: 0.156 0.841 0.385
Br: 0.220 0.564 0.497
Br: 0.220 0.936 0.997
Br: 0.280 0.064 0.497
Br: 0.280 0.436 0.997
Br: 0.344 0.159 0.885
Br: 0.344 0.341 0.385
Br: 0.411 0.515 0.719
Br: 0.411 0.985 0.219
Br: 0.475 0.707 0.394
Br: 0.475 0.793 0.894
Br: 0.525 0.207 0.106
Br: 0.525 0.293 0.606
Br: 0.589 0.015 0.781
Br: 0.589 0.485 0.281
Br: 0.656 0.659 0.615
Br: 0.656 0.841 0.115
Br: 0.720 0.564 0.003
Br: 0.720 0.936 0.503
Br: 0.780 0.064 0.003
Br: 0.780 0.436 0.503
Br: 0.844 0.159 0.615
Br: 0.844 0.341 0.115
Br: 0.911 0.515 0.781
Br: 0.911 0.985 0.281
Br: 0.975 0.707 0.106
Br: 0.975 0.793 0.606

Main lines, sorted by position (2θ from 10° to 80°):
| 2θ (°) | d [Å] | I (rel.) |
| --- | --- | --- |
| 13.00 | 6.808 | 100 |
| 13.51 | 6.552 | 14 |
| 26.25 | 3.395 | 15 |
| 27.76 | 3.214 | 35 |
| 28.16 | 3.169 | 22 |
| 30.25 | 2.954 | 20 |
| 30.37 | 2.943 | 34 |
| 30.71 | 2.911 | 16 |
| 38.12 | 2.361 | 12 |
| 46.41 | 1.956 | 17 |

---

(7)
For DyErPI2, a PBE-relaxed structure gives the computed XRD peak list in this record (Cu Kα).
Neutral-atom scattering factors, no anomalous dispersion.

Structural model:
Unit cell a=4.079 b=4.079 c=10.762 alpha=90.00 beta=90.00 gamma=120.00
Atoms (fractional coordinates):
Dy: 0.000 0.000 0.000
Er: 0.667 0.333 0.726
P: 0.333 0.667 0.861
I: 0.000 0.000 0.537
I: 0.667 0.333 0.191

Main lines, sorted by position (2θ from 10° to 80°):
| 2θ (°) | d [Å] | I (rel.) |
| --- | --- | --- |
| 16.47 | 5.381 | 8 |
| 25.21 | 3.533 | 23 |
| 30.26 | 2.953 | 100 |
| 33.30 | 2.690 | 8 |
| 35.67 | 2.517 | 10 |
| 42.22 | 2.140 | 24 |
| 44.41 | 2.040 | 28 |
| 54.69 | 1.678 | 19 |
| 56.63 | 1.625 | 10 |
| 73.00 | 1.296 | 16 |

---

(8)
For DyY2Er2Lu2Te2Pd2, a PBE-relaxed structure gives the computed XRD peak list in this record (Cu Kα).
Neutral-atom scattering factors, no anomalous dispersion.

Structural model:
Unit cell a=9.360 b=9.360 c=9.360 alpha=155.73 beta=66.98 gamma=118.65
Atoms (fractional coordinates):
Dy: 0.000 0.000 0.000
Y: 0.617 0.262 0.356
Y: 0.906 0.262 0.644
Er: 0.285 0.415 0.870
Er: 0.544 0.415 0.130
Lu: 0.306 0.623 0.682
Lu: 0.941 0.623 0.318
Te: 0.263 0.763 0.500
Te: 0.661 0.661 0.000
Pd: 0.173 0.934 0.239
Pd: 0.695 0.934 0.761

Main lines, sorted by position (2θ from 10° to 80°):
| 2θ (°) | d [Å] | I (rel.) |
| --- | --- | --- |
| 29.97 | 2.981 | 45 |
| 30.11 | 2.968 | 26 |
| 32.98 | 2.716 | 60 |
| 33.67 | 2.662 | 100 |
| 34.18 | 2.623 | 62 |
| 36.29 | 2.475 | 22 |
| 38.14 | 2.360 | 24 |
| 39.45 | 2.284 | 20 |
| 46.12 | 1.968 | 30 |
| 57.87 | 1.593 | 28 |

---

(9)
For InPbAu3O4, a PBE-relaxed structure gives the computed XRD peak list in this record (Cu Kα).
Neutral-atom scattering factors, no anomalous dispersion.

Structural model:
Unit cell a=5.436 b=5.436 c=5.436 alpha=90.00 beta=90.00 gamma=90.00
Atoms (fractional coordinates):
In: 0.000 0.000 0.000
Pb: 0.500 0.500 0.500
Au: 0.000 0.500 0.500
Au: 0.500 0.000 0.500
Au: 0.500 0.500 0.000
O: 0.224 0.224 0.224
O: 0.224 0.776 0.776
O: 0.776 0.224 0.776
O: 0.776 0.776 0.224

Main lines, sorted by position (2θ from 10° to 80°):
| 2θ (°) | d [Å] | I (rel.) |
| --- | --- | --- |
| 16.31 | 5.436 | 53 |
| 28.44 | 3.138 | 70 |
| 32.96 | 2.718 | 100 |
| 36.98 | 2.431 | 36 |
| 47.30 | 1.922 | 96 |
| 50.36 | 1.812 | 18 |
| 56.12 | 1.639 | 31 |
| 58.85 | 1.569 | 27 |
| 69.13 | 1.359 | 15 |
| 78.73 | 1.215 | 37 |

---

(10)
For NaLaHgSe3, a PBE-relaxed structure gives the computed XRD peak list in this record (Cu Kα).
Neutral-atom scattering factors, no anomalous dispersion.

Structural model:
Unit cell a=8.546 b=4.332 c=17.592 alpha=90.00 beta=90.00 gamma=90.00
Atoms (fractional coordinates):
Na: 0.075 0.250 0.200
Na: 0.425 0.750 0.700
Na: 0.575 0.250 0.300
Na: 0.925 0.750 0.800
La: 0.223 0.250 0.962
La: 0.277 0.750 0.462
La: 0.723 0.250 0.538
La: 0.777 0.750 0.038
Hg: 0.059 0.250 0.663
Hg: 0.441 0.750 0.163
Hg: 0.559 0.250 0.837
Hg: 0.941 0.750 0.337
Se: 0.012 0.250 0.424
Se: 0.122 0.750 0.067
Se: 0.220 0.250 0.788
Se: 0.280 0.750 0.288
Se: 0.378 0.250 0.567
Se: 0.488 0.750 0.924
Se: 0.512 0.250 0.076
Se: 0.622 0.750 0.433
Se: 0.720 0.250 0.712
Se: 0.780 0.750 0.212
Se: 0.878 0.250 0.933
Se: 0.988 0.750 0.576

Main lines, sorted by position (2θ from 10° to 80°):
| 2θ (°) | d [Å] | I (rel.) |
| --- | --- | --- |
| 11.51 | 7.687 | 32 |
| 18.35 | 4.835 | 57 |
| 21.12 | 4.207 | 83 |
| 29.14 | 3.065 | 29 |
| 30.80 | 2.903 | 100 |
| 31.82 | 2.812 | 27 |
| 33.04 | 2.711 | 45 |
| 38.15 | 2.359 | 47 |
| 39.15 | 2.301 | 66 |
| 41.70 | 2.166 | 44 |

---

(11)
For CsSnHg3Se4, a PBE-relaxed structure gives the computed XRD peak list in this record (Cu Kα).
Neutral-atom scattering factors, no anomalous dispersion.

Structural model:
Unit cell a=7.195 b=7.195 c=7.195 alpha=90.00 beta=90.00 gamma=90.00
Atoms (fractional coordinates):
Cs: 0.000 0.000 0.000
Sn: 0.500 0.500 0.500
Hg: 0.000 0.500 0.500
Hg: 0.500 0.000 0.500
Hg: 0.500 0.500 0.000
Se: 0.294 0.294 0.294
Se: 0.294 0.706 0.706
Se: 0.706 0.294 0.706
Se: 0.706 0.706 0.294

Main lines, sorted by position (2θ from 10° to 80°):
| 2θ (°) | d [Å] | I (rel.) |
| --- | --- | --- |
| 12.30 | 7.195 | 39 |
| 21.39 | 4.154 | 88 |
| 24.75 | 3.597 | 35 |
| 35.28 | 2.544 | 100 |
| 41.63 | 2.169 | 47 |
| 50.76 | 1.799 | 15 |
| 55.69 | 1.651 | 16 |
| 57.27 | 1.609 | 23 |
| 63.33 | 1.469 | 29 |
| 78.68 | 1.216 | 16 |